Theoretical X-ray powder pattern
Compound: PuO2
Radiation: Cu Kα (λ = 1.5418 Å)
Structure: a PBE-relaxed structure

Main lines, low angle first (10° ≤ 2θ ≤ 90°):
2θ (°)	Rel. int.	index
24.79	100	1 1 0
30.75	100	1 0 1
35.34	31	2 0 0
47.53	74	2 1 1
57.36	19	3 1 0
58.01	20	1 1 2
60.60	21	3 0 1
72.14	18	3 2 1

Structure:
```
data_PuO2
_cell_length_a 5.0798
_cell_length_b 5.0798
_cell_length_c 3.5458
_cell_angle_alpha 90.00
_cell_angle_beta 90.00
_cell_angle_gamma 90.00
_symmetry_space_group_name_H-M 'P 42/m n m'
_symmetry_Int_Tables_number 136
_symmetry_space_group_name_Hall '-P 4n 2n'
loop_
_atom_site_label
_atom_site_type_symbol
_atom_site_fract_x
_atom_site_fract_y
_atom_site_fract_z
Pu1 Pu 0.0000 0.0000 0.0000
O1 O 0.1893 0.1893 0.5000
```